# 1
Diffraction record for Ac5Ga2Ge2. The PXRD pattern is theoretical, not measured: it uses a structure optimized by DFT (GGA-PBE) and Cu Ka.
Peak positions follow from Bragg's law for the DFT cell and can differ from measured ones.

Crystal structure
```
data_Ac5Ga2Ge2
_chemical_formula_sum 'Ac20 Ga8 Ge8'
_space_group_name_H-M_alt 'I m a 2'
_space_group_IT_number 46
_space_group_name_Hall 'I 2 -2a'
_cell_length_a 17.897
_cell_length_b 9.453
_cell_length_c 7.055
_cell_angle_alpha 90.00
_cell_angle_beta 90.00
_cell_angle_gamma 90.00
loop_
_atom_site_label
_atom_site_type_symbol
_atom_site_fract_x
_atom_site_fract_y
_atom_site_fract_z
_atom_site_occupancy
Ac1 Ac 0.065 0.199 0.000 1
Ac2 Ac 0.149 0.657 0.777 1
Ac3 Ac 0.250 0.041 0.725 1
Ga1 Ga 0.000 0.000 0.343 1
Ga2 Ga 0.250 0.128 0.201 1
Ge1 Ge 0.070 0.553 0.173 1
```

The 10 most intense peaks (10 to 80 degrees two-theta), low angle first:
- (1 2 1), 23.19°, rel. 59
- (5 1 0), 26.63°, rel. 100
- (2 0 2), 27.18°, rel. 82
- (4 2 0), 27.45°, rel. 64
- (3 1 2), 30.93°, rel. 85
- (0 3 1), 31.08°, rel. 60
- (3 3 0), 32.13°, rel. 34
- (2 3 1), 32.69°, rel. 38
- (6 1 1), 33.94°, rel. 84
- (6 2 2), 44.14°, rel. 32

=====

# 2
Diffraction record for Na2SrBr2Cl2. The PXRD pattern is theoretical, not measured: it uses a structure optimized by DFT (GGA-PBE) and Cu Ka.
Peak positions follow from Bragg's law for the DFT cell and can differ from measured ones.

Crystal structure
```
data_Na2SrBr2Cl2
_chemical_formula_sum 'Na2 Sr1 Br2 Cl2'
_space_group_name_H-M_alt 'P -1'
_space_group_IT_number 2
_space_group_name_Hall '-P 1'
_cell_length_a 4.420
_cell_length_b 7.232
_cell_length_c 7.644
_cell_angle_alpha 67.96
_cell_angle_beta 78.12
_cell_angle_gamma 86.68
loop_
_atom_site_label
_atom_site_type_symbol
_atom_site_fract_x
_atom_site_fract_y
_atom_site_fract_z
_atom_site_occupancy
Na1 Na 0.145 0.197 0.074 1
Sr1 Sr 0.500 0.500 0.500 1
Br1 Br 0.390 0.060 0.748 1
Cl1 Cl 0.092 0.481 0.244 1
```

The 10 most intense peaks (10 to 80 degrees two-theta), low angle first:
- (0 1 1), 14.56°, rel. 100
- (1 0 1), 21.95°, rel. 65
- (0 1 2), 24.09°, rel. 73
- (0 2 0), 26.60°, rel. 86
- (-1 1 1), 27.09°, rel. 85
- (1 1 2), 28.46°, rel. 85
- (0 2 3), 38.13°, rel. 65
- (2 0 1), 41.18°, rel. 53
- (1 3 2), 42.27°, rel. 92
- (-1 3 1), 43.94°, rel. 49